[1]
Structure and calculated X-ray diffraction stick pattern of Ba2MgW2O8 (a structure optimized by DFT (GGA+U); Cu Kα (weighted mean of Kα1 and Kα2)).
Kinematic intensities with the Lorentz-polarization factor, no thermal factor.

a = 4.1182 Å, b = 5.9255 Å, c = 8.1273 Å
α = 85.68°, β = 75.40°, γ = 89.88°
Atoms (fractional coordinates):
Ba1 0.0000 0.0000 0.0000
Ba2 0.1893 0.5368 0.6098
Mg1 0.8545 0.5662 0.2778
W1 0.4973 0.4852 0.9967
W2 0.6926 0.0411 0.6046
O1 0.1756 0.0305 0.6368
O2 0.3914 0.6550 0.2050
O3 0.4386 0.2094 0.1234
O4 0.5847 0.7543 0.8223
O5 0.5984 0.2642 0.7891
O6 0.7619 0.8002 0.4609
O7 0.7700 0.3088 0.4469
O8 0.9907 0.5108 0.0115

Principal peaks in the range 2θ = 10–90°, in order of falling intensity:
30.9°, intensity 100.0; 32.2°, intensity 72.2; 22.7°, intensity 62.9; 27.2°, intensity 57.9; 11.3°, intensity 49.7; 30.3°, intensity 45.9; 44.0°, intensity 30.4; 39.6°, intensity 28.2; 44.5°, intensity 26.9; 34.3°, intensity 25.4

---

[2]
Structure and calculated X-ray diffraction stick pattern of Ba2MgW2O8 (a structure optimized by DFT (GGA+U); Cu Kα (weighted mean of Kα1 and Kα2)).
Kinematic intensities with the Lorentz-polarization factor, no thermal factor.

a = 6.5703 Å, b = 6.6932 Å, c = 7.0906 Å
α = 107.14°, β = 114.78°, γ = 103.43°
Atoms (fractional coordinates):
Ba1 0.0000 0.0000 0.0000
Ba2 0.2691 0.5424 0.8216
Mg1 0.8592 0.0136 0.4032
W1 0.4629 0.9990 0.5434
W2 0.7330 0.4787 0.2846
O1 0.2305 0.1242 0.5334
O2 0.3749 0.8736 0.2312
O3 0.3939 0.3251 0.0985
O4 0.4940 0.8471 0.7269
O5 0.7617 0.7033 0.1660
O6 0.8114 0.1477 0.6640
O7 0.8632 0.2539 0.2852
O8 0.9115 0.6808 0.6011

Principal peaks in the range 2θ = 10–90°, in order of falling intensity:
21.8°, intensity 100.0; 21.6°, intensity 99.8; 27.8°, intensity 97.0; 29.7°, intensity 44.4; 30.0°, intensity 42.0; 30.7°, intensity 36.4; 31.2°, intensity 32.3; 40.6°, intensity 19.5; 40.8°, intensity 17.9; 43.0°, intensity 17.5

---

[3]
Structure and calculated X-ray diffraction stick pattern of Ba2MgW2O8 (a structure optimized by DFT (GGA+U); Cu Kα (weighted mean of Kα1 and Kα2)).
Kinematic intensities with the Lorentz-polarization factor, no thermal factor.

a = 4.0556 Å, b = 5.7679 Å, c = 9.2096 Å
α = 90.68°, β = 101.05°, γ = 91.44°
Atoms (fractional coordinates):
Ba1 0.0000 0.0000 0.0000
Ba2 0.3619 0.4969 0.6374
Mg1 0.3762 0.9096 0.3423
W1 0.6693 0.4897 0.2628
W2 0.8573 0.9863 0.5994
O1 0.1779 0.5423 0.2964
O2 0.3279 0.9754 0.5642
O3 0.5644 0.3092 0.0942
O4 0.5868 0.8055 0.1670
O5 0.7203 0.1972 0.4059
O6 0.7516 0.7069 0.4587
O7 0.8896 0.2318 0.7355
O8 0.9358 0.7616 0.7607

Principal peaks in the range 2θ = 10–90°, in order of falling intensity:
31.0°, intensity 100.0; 26.9°, intensity 83.8; 24.8°, intensity 83.3; 29.7°, intensity 83.0; 30.9°, intensity 80.7; 25.2°, intensity 80.4; 27.6°, intensity 67.9; 19.6°, intensity 62.7; 27.2°, intensity 59.6; 18.1°, intensity 55.9

---

[4]
Structure and calculated X-ray diffraction stick pattern of Ba2MgW2O8 (a structure optimized by DFT (GGA+U); Cu Kα (weighted mean of Kα1 and Kα2)).
Kinematic intensities with the Lorentz-polarization factor, no thermal factor.

a = 4.0054 Å, b = 5.9082 Å, c = 9.4361 Å
α = 90.91°, β = 101.45°, γ = 90.43°
Atoms (fractional coordinates):
Ba1 0.0000 0.0000 0.0000
Ba2 0.3325 0.5198 0.6382
Mg1 0.7113 0.5020 0.3375
W1 0.5057 0.5020 0.0194
W2 0.6534 0.0042 0.3495
O1 0.0213 0.5092 0.0373
O2 0.1684 0.9993 0.3347
O3 0.4376 0.7463 0.8789
O4 0.4639 0.2709 0.8774
O5 0.5955 0.2537 0.1900
O6 0.5971 0.7419 0.1904
O7 0.7534 0.7472 0.4867
O8 0.7607 0.2651 0.4866

Principal peaks in the range 2θ = 10–90°, in order of falling intensity:
27.4°, intensity 100.0; 30.3°, intensity 75.6; 29.0°, intensity 60.3; 45.3°, intensity 39.6; 24.2°, intensity 39.3; 42.8°, intensity 37.0; 24.7°, intensity 36.2; 42.0°, intensity 35.9; 18.0°, intensity 35.3; 30.7°, intensity 34.7

---

[5]
Structure and calculated X-ray diffraction stick pattern of Ba2MgW2O8 (a structure optimized by DFT (GGA+U); Cu Kα (weighted mean of Kα1 and Kα2)).
Kinematic intensities with the Lorentz-polarization factor, no thermal factor.

a = 8.7821 Å, b = 8.7821 Å, c = 6.0325 Å
α = 92.53°, β = 92.53°, γ = 27.05°
Atoms (fractional coordinates):
Ba1 0.0000 0.0000 0.0000
Ba2 0.6092 0.6092 0.5029
Mg1 0.8045 0.8045 0.7493
W1 0.2170 0.2170 0.0200
W2 0.3921 0.3921 0.4801
O1 0.1360 0.1360 0.2397
O2 0.1369 0.1369 0.7895
O3 0.3041 0.3041 0.7481
O4 0.3051 0.3051 0.2482
O5 0.4713 0.4713 0.7128
O6 0.4740 0.4740 0.2629
O7 0.7292 0.7292 0.9875
O8 0.8798 0.8798 0.5113

Principal peaks in the range 2θ = 10–90°, in order of falling intensity:
26.6°, intensity 100.0; 26.1°, intensity 82.6; 34.2°, intensity 71.5; 25.0°, intensity 64.2; 26.9°, intensity 51.5; 29.6°, intensity 41.9; 45.0°, intensity 41.0; 22.3°, intensity 33.8; 44.1°, intensity 31.3; 46.7°, intensity 26.9

---

[6]
Structure and calculated X-ray diffraction stick pattern of BaNaNdMnO6 (a structure optimized by DFT (GGA+U); Cu Kα (weighted mean of Kα1 and Kα2)).
Kinematic intensities with the Lorentz-polarization factor, no thermal factor.

a = 8.4406 Å, b = 8.4616 Å, c = 8.4826 Å
α = 90.00°, β = 90.00°, γ = 90.00°
Atoms (fractional coordinates):
Ba1 0.2500 0.2500 0.2500
Ba2 0.2500 0.2500 0.7500
Ba3 0.7500 0.7500 0.2500
Ba4 0.7500 0.7500 0.7500
Na1 0.2500 0.7500 0.2500
Na2 0.2500 0.7500 0.7500
Na3 0.7500 0.2500 0.2500
Na4 0.7500 0.2500 0.7500
Nd1 0.0000 0.0000 0.0000
Nd2 0.0000 0.5000 0.5000
Nd3 0.5000 0.0000 0.5000
Nd4 0.5000 0.5000 0.0000
Mn1 0.0000 0.0000 0.5000
Mn2 0.0000 0.5000 0.0000
Mn3 0.5000 0.0000 0.0000
Mn4 0.5000 0.5000 0.5000
O1 0.0085 0.7259 0.0150
O2 0.0085 0.7741 0.4850
O3 0.0148 0.5146 0.7743
O4 0.0148 0.9854 0.7257
O5 0.2259 0.0199 0.4877
O6 0.2259 0.4801 0.0123
O7 0.2741 0.0199 0.0123
O8 0.2741 0.4801 0.4877
O9 0.4852 0.5146 0.7257
O10 0.4852 0.9854 0.7743
O11 0.4915 0.7259 0.4850
O12 0.4915 0.7741 0.0150
O13 0.5085 0.2259 0.9850
O14 0.5085 0.2741 0.5150
O15 0.5148 0.0146 0.2257
O16 0.5148 0.4854 0.2743
O17 0.7259 0.5199 0.5123
O18 0.7259 0.9801 0.9877
O19 0.7741 0.5199 0.9877
O20 0.7741 0.9801 0.5123
O21 0.9852 0.0146 0.2743
O22 0.9852 0.4854 0.2257
O23 0.9915 0.2259 0.5150
O24 0.9915 0.2741 0.9850

Principal peaks in the range 2θ = 10–90°, in order of falling intensity:
29.9°, intensity 100.0; 53.0°, intensity 26.7; 14.8°, intensity 19.9; 62.0°, intensity 13.3; 53.1°, intensity 13.1; 42.6°, intensity 11.5; 42.9°, intensity 11.3; 42.7°, intensity 11.3; 85.9°, intensity 10.7; 86.1°, intensity 10.6

---

[7]
Structure and calculated X-ray diffraction stick pattern of BaNaNdMnO6 (a structure optimized by DFT (GGA+U); Cu Kα (weighted mean of Kα1 and Kα2)).
Kinematic intensities with the Lorentz-polarization factor, no thermal factor.

a = 5.9838 Å, b = 5.9838 Å, c = 5.9838 Å
α = 60.00°, β = 60.00°, γ = 60.00°
Atoms (fractional coordinates):
Ba1 0.0000 0.0000 0.0000
Na1 0.5000 0.5000 0.5000
Nd1 0.2500 0.2500 0.2500
Mn1 0.7500 0.7500 0.7500
O1 0.5239 0.5239 0.9761
O2 0.5239 0.9761 0.5239
O3 0.5239 0.9761 0.9761
O4 0.9761 0.5239 0.5239
O5 0.9761 0.5239 0.9761
O6 0.9761 0.9761 0.5239

Principal peaks in the range 2θ = 10–90°, in order of falling intensity:
29.9°, intensity 100.0; 53.0°, intensity 38.9; 42.7°, intensity 34.7; 18.2°, intensity 34.3; 35.2°, intensity 24.4; 86.0°, intensity 21.0; 62.0°, intensity 20.6; 70.4°, intensity 18.1; 46.8°, intensity 13.0; 21.0°, intensity 8.0

---

[8]
Structure and calculated X-ray diffraction stick pattern of Ba4NaMn2O9 (a structure optimized by DFT (GGA+U); Cu Kα (weighted mean of Kα1 and Kα2)).
Kinematic intensities with the Lorentz-polarization factor, no thermal factor.

a = 10.1753 Å, b = 10.1753 Å, c = 8.4062 Å
α = 90.00°, β = 90.00°, γ = 120.00°
Atoms (fractional coordinates):
Ba1 0.0000 0.3265 0.0000
Ba2 0.0000 0.3533 0.5000
Ba3 0.0224 0.6868 0.2456
Ba4 0.3132 0.3356 0.2456
Ba5 0.3265 0.0000 0.0000
Ba6 0.3356 0.3132 0.7544
Ba7 0.3533 0.0000 0.5000
Ba8 0.6467 0.6467 0.5000
Ba9 0.6644 0.9776 0.2456
Ba10 0.6735 0.6735 0.0000
Ba11 0.6868 0.0224 0.7544
Ba12 0.9776 0.6644 0.7544
Na1 0.0000 0.0000 0.5000
Na2 0.3333 0.6667 0.7439
Na3 0.6667 0.3333 0.2561
Mn1 0.0000 0.0000 0.1597
Mn2 0.0000 0.0000 0.8403
Mn3 0.3333 0.6667 0.0852
Mn4 0.3333 0.6667 0.4044
Mn5 0.6667 0.3333 0.5956
Mn6 0.6667 0.3333 0.9148
O1 0.0000 0.8548 0.0000
O2 0.0086 0.1640 0.7191
O3 0.1452 0.1452 0.0000
O4 0.1554 0.9914 0.7191
O5 0.1640 0.0086 0.2809
O6 0.1797 0.5241 0.2443
O7 0.1811 0.6726 0.9615
O8 0.1820 0.6787 0.5277
O9 0.3213 0.5034 0.5277
O10 0.3274 0.5085 0.9615
O11 0.3444 0.8203 0.2443
O12 0.4759 0.6556 0.2443
O13 0.4915 0.8189 0.9615
O14 0.4966 0.8180 0.5277
O15 0.5034 0.3213 0.4723
O16 0.5085 0.3274 0.0385
O17 0.5241 0.1797 0.7557
O18 0.6556 0.4759 0.7557
O19 0.6726 0.1811 0.0385
O20 0.6787 0.1820 0.4723
O21 0.8180 0.4966 0.4723
O22 0.8189 0.4915 0.0385
O23 0.8203 0.3444 0.7557
O24 0.8360 0.8446 0.7191
O25 0.8446 0.8360 0.2809
O26 0.8548 0.0000 0.0000
O27 0.9914 0.1554 0.2809

Principal peaks in the range 2θ = 10–90°, in order of falling intensity:
27.5°, intensity 100.0; 30.4°, intensity 79.6; 41.5°, intensity 56.7; 52.3°, intensity 26.0; 53.6°, intensity 16.4; 54.1°, intensity 13.4; 63.3°, intensity 12.5; 70.4°, intensity 11.1; 14.6°, intensity 10.4; 46.8°, intensity 10.4